# 1
# La7ZnPb2N2
Theoretical powder XRD pattern, Cu Kα X-rays. Input: a PBE-relaxed structure.

Cell and atoms:
Cell lengths 5.0833, 5.0833, 13.8188 Å; angles 100.54, 100.54, 90.02 degrees
Atoms (fractional coordinates):
1 La 0.0000 0.0000 0.0000
2 La 0.0924 0.5921 0.1843
3 La 0.1925 0.1925 0.3864
4 La 0.4079 0.9076 0.8157
5 La 0.5921 0.0924 0.1843
6 La 0.8075 0.8075 0.6136
7 La 0.9076 0.4079 0.8157
8 Zn 0.5000 0.5000 0.0000
9 Pb 0.3212 0.3212 0.6414
10 Pb 0.6788 0.6788 0.3586
11 N 0.0998 0.0998 0.1994
12 N 0.9002 0.9002 0.8006

Largest 10 diffraction maxima, low angle first, 10° ≤ 2θ ≤ 90°:
two_theta, d_spacing, I (rel.)
25.67, 3.471, 258
28.20, 3.165, 248
32.01, 2.796, 1000
33.57, 2.670, 173
35.31, 2.542, 561
49.52, 1.841, 229
50.80, 1.797, 199
61.27, 1.513, 321
61.34, 1.511, 156
62.27, 1.491, 114

***

# 2
# La2PdRhN
Theoretical powder XRD pattern, Cu Kα X-rays. Input: a PBE-relaxed structure.

Cell and atoms:
Cell lengths 5.1799, 5.1799, 3.9200 Å; angles 90.00, 90.00, 90.00 degrees
Atoms (fractional coordinates):
1 La 0.0000 0.5000 0.0000
2 La 0.5000 0.0000 0.0000
3 Pd 0.0000 0.0000 0.5000
4 Rh 0.5000 0.5000 0.5000
5 N 0.5000 0.5000 0.0000

Largest 10 diffraction maxima, low angle first, 10° ≤ 2θ ≤ 90°:
two_theta, d_spacing, I (rel.)
33.48, 2.676, 1000
34.63, 2.590, 511
46.32, 1.960, 111
49.79, 1.831, 180
59.11, 1.563, 212
61.34, 1.511, 348
70.35, 1.338, 124
77.57, 1.231, 89
82.80, 1.166, 76
83.45, 1.158, 79

***

# 3
# LaPm5N6
Theoretical powder XRD pattern, Cu Kα X-rays. Input: a PBE-relaxed structure.

Cell and atoms:
Cell lengths 6.3009, 6.3009, 6.2984 Å; angles 99.58, 99.58, 120.01 degrees
Atoms (fractional coordinates):
1 La 0.0000 0.0000 0.0000
2 Pm 0.1677 0.8323 0.5000
3 Pm 0.3336 0.6664 0.0000
4 Pm 0.5000 0.5000 0.5000
5 Pm 0.6664 0.3336 0.0000
6 Pm 0.8323 0.1677 0.5000
7 N 0.0843 0.4221 0.2525
8 N 0.2541 0.2541 0.7487
9 N 0.4221 0.0843 0.2525
10 N 0.5779 0.9157 0.7475
11 N 0.7459 0.7459 0.2513
12 N 0.9157 0.5779 0.7475

Largest 9 diffraction maxima, low angle first, 10° ≤ 2θ ≤ 90°:
two_theta, d_spacing, I (rel.)
30.09, 2.970, 1000
34.88, 2.572, 746
50.16, 1.819, 519
59.61, 1.551, 457
62.55, 1.485, 175
73.66, 1.286, 80
81.57, 1.180, 159
81.59, 1.180, 32
84.17, 1.150, 227

***

# 4
# La5PmN5
Theoretical powder XRD pattern, Cu Kα X-rays. Input: a PBE-relaxed structure.

Cell and atoms:
Cell lengths 6.4204, 6.4204, 7.4220 Å; angles 106.79, 106.79, 48.55 degrees
Atoms (fractional coordinates):
1 La 0.0000 0.0000 0.0000
2 La 0.3283 0.3283 0.1740
3 La 0.3294 0.3294 0.6549
4 La 0.6706 0.6706 0.3451
5 La 0.6717 0.6717 0.8260
6 Pm 0.0000 0.0000 0.5000
7 N 0.1611 0.1611 0.8322
8 N 0.1702 0.1702 0.3373
9 N 0.5000 0.5000 0.5000
10 N 0.8298 0.8298 0.6627
11 N 0.8389 0.8389 0.1678

Largest 10 diffraction maxima, low angle first, 10° ≤ 2θ ≤ 90°:
two_theta, d_spacing, I (rel.)
29.45, 3.033, 1000
33.96, 2.640, 243
34.22, 2.620, 469
48.98, 1.860, 333
58.02, 1.590, 154
58.34, 1.582, 220
61.04, 1.518, 84
61.17, 1.515, 83
79.43, 1.207, 122
82.14, 1.173, 102

***

# 5
# La3PmN4
Theoretical powder XRD pattern, Cu Kα X-rays. Input: a PBE-relaxed structure.

Cell and atoms:
Cell lengths 5.2581, 5.2581, 5.2581 Å; angles 90.00, 90.00, 90.00 degrees
Atoms (fractional coordinates):
1 La 0.0000 0.0000 0.5000
2 La 0.0000 0.5000 0.0000
3 La 0.5000 0.0000 0.0000
4 Pm 0.5000 0.5000 0.5000
5 N 0.0000 0.0000 0.0000
6 N 0.0000 0.5000 0.5000
7 N 0.5000 0.0000 0.5000
8 N 0.5000 0.5000 0.0000

Largest 8 diffraction maxima, low angle first, 10° ≤ 2θ ≤ 90°:
two_theta, d_spacing, I (rel.)
29.42, 3.036, 1000
34.10, 2.629, 762
49.00, 1.859, 533
58.19, 1.585, 462
61.05, 1.518, 180
71.81, 1.315, 82
79.45, 1.206, 191
81.94, 1.176, 230

***

# 6
# La3Pm2N4
Theoretical powder XRD pattern, Cu Kα X-rays. Input: a PBE-relaxed structure.

Cell and atoms:
Cell lengths 6.4816, 6.4816, 9.2342 Å; angles 119.73, 119.73, 33.23 degrees
Atoms (fractional coordinates):
1 La 0.0000 0.0000 0.0000
2 La 0.2009 0.2009 0.8079
3 La 0.7991 0.7991 0.1921
4 Pm 0.3893 0.3893 0.6144
5 Pm 0.6107 0.6107 0.3856
6 N 0.1979 0.1979 0.3152
7 N 0.3950 0.3950 0.0975
8 N 0.6050 0.6050 0.9025
9 N 0.8021 0.8021 0.6848

Largest 10 diffraction maxima, low angle first, 10° ≤ 2θ ≤ 90°:
two_theta, d_spacing, I (rel.)
29.02, 3.077, 487
29.40, 3.038, 482
29.62, 3.016, 1000
33.84, 2.649, 913
34.60, 2.593, 454
48.93, 1.861, 306
49.15, 1.854, 167
49.42, 1.844, 311
58.34, 1.582, 214
58.99, 1.566, 218